Computed XRD peak list of CsCoC4O4 for Cu Kα, 1.54184 Å, from the GGA+U geometry in Alexandria.

Principal peaks in the range 10° ≤ 2θ ≤ 90°, sorted by position:
(hkl)  2θ/deg  I/Imax
1 0 1  19.2  42
2 0 0  20.6  50
2 1 1  28.3  100
1 1 2  35.9  22
3 2 1  41.2  16
1 3 2  47.0  26

Unit cell a=8.6179 b=8.6179 c=5.4927 alpha=90.00 beta=90.00 gamma=90.00
Space group I-4 (No. 82)
Symmetry-distinct sites (fractional):
Cs  0.0000  0.0000  0.0000 [2 per cell]
Co  0.0000  0.5000  0.7500 [2 per cell]
C  0.0505  0.3479  0.5572 [8 per cell]
O  0.0836  0.2464  0.4237 [8 per cell]